No. 1
GdHoNi2Pb: simulated PXRD pattern (Cu Kα, 1.54184 Å), based on a cell relaxed with PBE.
No peak broadening, texture or thermal motion is included.

Cell and atoms:
```
5
Lattice="3.6954 0.0000 0.0000 0.0000 1.9916 7.1415 0.0000 -1.9916 7.1415" Properties=species:S:1:pos:R:3 pbc="T T T"
Gd 0.0000 0.0000 0.0000
Ho 0.0000 0.0000 10.3027
Ni 1.8477 0.0000 2.3071
Ni 1.8477 0.0000 8.0514
Pb 1.8477 0.0000 5.1316
```

Peak list (10 most intense, 2θ = 10–90°, in order of rising 2θ)
d 3.055, intensity 51; d 2.662, intensity 100; d 2.568, intensity 67; d 2.380, intensity 15; d 2.321, intensity 33; d 1.992, intensity 23; d 1.848, intensity 18; d 1.630, intensity 20; d 1.581, intensity 15; d 1.574, intensity 30


No. 2
GdHo2O4: simulated PXRD pattern (Cu Kα, 1.54184 Å), based on a cell relaxed with PBE.
No peak broadening, texture or thermal motion is included.

Cell and atoms:
```
14
Lattice="0.0000 4.7751 4.7751 4.7751 0.0000 4.7751 4.7751 4.7751 0.0000" Properties=species:S:1:pos:R:3 pbc="T T T"
Gd 1.1938 1.1938 1.1938
Gd 8.3564 8.3564 8.3564
Ho 4.7751 2.3876 2.3876
Ho 2.3876 4.7751 2.3876
Ho 2.3876 2.3876 4.7751
Ho 4.7751 4.7751 4.7751
O 2.4812 2.4812 2.4812
O 4.6815 4.6815 2.4812
O 4.6815 2.4812 4.6815
O 7.0690 4.8687 4.8687
O 2.4812 4.6815 4.6815
O 4.8687 7.0690 4.8687
O 4.8687 4.8687 7.0690
O 7.0690 7.0690 7.0690
```

Peak list (10 most intense, 2θ = 10–90°, in order of rising 2θ)
d 3.377, intensity 25; d 2.879, intensity 100; d 2.757, intensity 27; d 2.388, intensity 11; d 1.838, intensity 39; d 1.688, intensity 41; d 1.456, intensity 13; d 1.440, intensity 13; d 1.243, intensity 22; d 1.103, intensity 13


No. 3
Rb2GdHoO4: simulated PXRD pattern (Cu Kα, 1.54184 Å), based on a cell relaxed with PBE.
No peak broadening, texture or thermal motion is included.

Cell and atoms:
```
8
Lattice="3.4825 0.0000 0.0000 -1.7412 3.0159 0.0000 0.0000 0.0000 12.9176" Properties=species:S:1:pos:R:3 pbc="T T T"
Rb 0.0000 2.0106 3.2221
Rb 1.7412 1.0053 9.6955
Gd 0.0000 0.0000 6.4588
Ho 0.0000 0.0000 0.0000
O 0.0000 2.0106 7.6405
O 0.0000 2.0106 11.7759
O 1.7412 1.0053 1.1417
O 1.7412 1.0053 5.2771
```

Peak list (10 most intense, 2θ = 10–90°, in order of rising 2θ)
d 6.459, intensity 27; d 3.229, intensity 34; d 3.016, intensity 16; d 2.733, intensity 100; d 2.470, intensity 21; d 2.204, intensity 23; d 1.752, intensity 33; d 1.741, intensity 26; d 1.533, intensity 24; d 1.468, intensity 15


No. 4
GdHo2P3: simulated PXRD pattern (Cu Kα, 1.54184 Å), based on a cell relaxed with PBE.
No peak broadening, texture or thermal motion is included.

Cell and atoms:
```
6
Lattice="4.0068 0.0000 0.0000 -2.0034 3.4700 0.0000 0.0000 0.0000 9.8101" Properties=species:S:1:pos:R:3 pbc="T T T"
Gd 0.0000 0.0000 0.0000
Ho 0.0000 2.3133 3.2863
Ho 2.0034 1.1567 6.5238
P 0.0000 0.0000 4.9051
P 0.0000 2.3133 8.1412
P 2.0034 1.1567 1.6689
```

Peak list (10 most intense, 2θ = 10–90°, in order of rising 2θ)
d 3.271, intensity 87; d 2.833, intensity 100; d 2.003, intensity 73; d 1.708, intensity 43; d 1.636, intensity 26; d 1.416, intensity 12; d 1.300, intensity 17; d 1.267, intensity 33; d 1.156, intensity 25; d 1.090, intensity 10


No. 5
GdHo2Sn3PdPt2: simulated PXRD pattern (Cu Kα, 1.54184 Å), based on a cell relaxed with PBE.
No peak broadening, texture or thermal motion is included.

Cell and atoms:
```
9
Lattice="4.0153 0.0000 0.0000 0.0000 6.5413 3.7587 0.0000 -6.5413 3.7587" Properties=species:S:1:pos:R:3 pbc="T T T"
Gd 0.0000 0.0000 0.0000
Ho 0.0000 -2.6694 2.9129
Ho 0.0000 2.6694 2.9129
Sn 2.0077 0.0000 2.5146
Sn 2.0077 -1.6928 5.4090
Sn 2.0077 1.6928 5.4090
Pd 0.0000 0.0000 4.4334
Pt 2.0077 -4.3412 4.4511
Pt 2.0077 4.3412 4.4511
```

Peak list (10 most intense, 2θ = 10–90°, in order of rising 2θ)
d 2.747, intensity 100; d 2.532, intensity 90; d 2.469, intensity 29; d 2.180, intensity 14; d 2.173, intensity 28; d 2.103, intensity 19; d 2.008, intensity 27; d 1.558, intensity 14; d 1.475, intensity 17; d 1.404, intensity 21


No. 6
GdHoSi2Pd4: simulated PXRD pattern (Cu Kα, 1.54184 Å), based on a cell relaxed with PBE.
No peak broadening, texture or thermal motion is included.

Cell and atoms:
```
8
Lattice="7.1017 0.0000 0.0000 0.0000 1.9508 5.1072 0.0000 -1.9508 5.1072" Properties=species:S:1:pos:R:3 pbc="T T T"
Gd 0.0000 0.0000 0.0000
Ho 3.5508 0.0000 1.1188
Si 0.0000 0.0000 2.8910
Si 3.5508 0.0000 8.4414
Pd 1.4074 0.0000 7.1615
Pd 2.1567 0.0000 4.1720
Pd 4.9449 0.0000 4.1720
Pd 5.6943 0.0000 7.1615
```

Peak list (10 most intense, 2θ = 10–90°, in order of rising 2θ)
d 3.243, intensity 19; d 2.915, intensity 22; d 2.565, intensity 57; d 2.543, intensity 100; d 2.413, intensity 47; d 2.403, intensity 28; d 2.148, intensity 33; d 1.951, intensity 28; d 1.444, intensity 18; d 1.438, intensity 25


No. 7
GdHo2Sn3Pd3: simulated PXRD pattern (Cu Kα, 1.54184 Å), based on a cell relaxed with PBE.
No peak broadening, texture or thermal motion is included.

Cell and atoms:
```
9
Lattice="3.9159 0.0000 0.0000 0.0000 6.6070 3.8031 0.0000 -6.6070 3.8031" Properties=species:S:1:pos:R:3 pbc="T T T"
Gd 0.0000 0.0000 0.0000
Ho 0.0000 -2.6661 2.9985
Ho 0.0000 2.6661 2.9985
Sn 1.9579 0.0000 2.5445
Sn 1.9579 -1.7290 5.5214
Sn 1.9579 1.7290 5.5214
Pd 0.0000 0.0000 4.5184
Pd 1.9579 -4.3834 4.5373
Pd 1.9579 4.3834 4.5373
```

Peak list (10 most intense, 2θ = 10–90°, in order of rising 2θ)
d 2.730, intensity 100; d 2.523, intensity 78; d 2.494, intensity 43; d 2.199, intensity 38; d 2.103, intensity 20; d 1.958, intensity 23; d 1.540, intensity 20; d 1.462, intensity 21; d 1.413, intensity 21; d 1.410, intensity 10


No. 8
GdHoTlPd2: simulated PXRD pattern (Cu Kα, 1.54184 Å), based on a cell relaxed with PBE.
No peak broadening, texture or thermal motion is included.

Cell and atoms:
```
5
Lattice="3.6690 0.0000 0.0000 0.0000 2.0651 7.5489 0.0000 -2.0651 7.5489" Properties=species:S:1:pos:R:3 pbc="T T T"
Gd 0.0000 0.0000 0.0000
Ho 0.0000 0.0000 11.0436
Tl 1.8345 0.0000 5.5224
Pd 1.8345 0.0000 2.6674
Pd 1.8345 0.0000 8.4213
```

Peak list (10 most intense, 2θ = 10–90°, in order of rising 2θ)
d 3.193, intensity 22; d 2.699, intensity 100; d 2.631, intensity 54; d 2.516, intensity 17; d 2.438, intensity 49; d 2.408, intensity 20; d 2.065, intensity 26; d 1.834, intensity 18; d 1.624, intensity 25; d 1.465, intensity 23


No. 9
SmGd2HoTl2: simulated PXRD pattern (Cu Kα, 1.54184 Å), based on a cell relaxed with PBE.
No peak broadening, texture or thermal motion is included.

Cell and atoms:
```
6
Lattice="5.4374 0.0000 0.0000 -2.7187 4.7089 0.0000 0.0000 0.0000 6.7797" Properties=species:S:1:pos:R:3 pbc="T T T"
Sm 0.0000 0.0000 0.0000
Gd 2.7187 1.5696 1.7361
Gd 2.7187 1.5696 5.0436
Ho 0.0000 3.1393 3.3898
Tl 0.0000 0.0000 3.3898
Tl 0.0000 3.1393 0.0000
```

Peak list (10 most intense, 2θ = 10–90°, in order of rising 2θ)
d 2.751, intensity 88; d 2.719, intensity 100; d 2.121, intensity 15; d 1.934, intensity 32; d 1.576, intensity 33; d 1.570, intensity 19; d 1.438, intensity 29; d 1.359, intensity 12; d 1.219, intensity 14; d 1.152, intensity 14


No. 10
GdHoZn2Sn2: simulated PXRD pattern (Cu Kα, 1.54184 Å), based on a cell relaxed with PBE.
No peak broadening, texture or thermal motion is included.

Cell and atoms:
```
12
Lattice="4.5119 0.0000 0.0000 -2.2559 3.9074 0.0000 0.0000 0.0000 15.8242" Properties=species:S:1:pos:R:3 pbc="T T T"
Gd 0.0000 0.0000 3.9560
Gd 0.0000 0.0000 11.8681
Ho 0.0000 0.0000 0.0000
Ho 0.0000 0.0000 7.9121
Zn 0.0000 2.6049 2.5127
Zn 0.0000 2.6049 5.3994
Zn 2.2559 1.3025 10.4248
Zn 2.2559 1.3025 13.3115
Sn 0.0000 2.6049 9.6878
Sn 0.0000 2.6049 14.0484
Sn 2.2559 1.3025 1.7757
Sn 2.2559 1.3025 6.1364
```

Peak list (10 most intense, 2θ = 10–90°, in order of rising 2θ)
d 3.907, intensity 8; d 3.140, intensity 16; d 2.780, intensity 100; d 2.256, intensity 60; d 1.957, intensity 13; d 1.752, intensity 26; d 1.487, intensity 16; d 1.384, intensity 24; d 1.302, intensity 10; d 1.128, intensity 7


No. 11
GdHoTm2: simulated PXRD pattern (Cu Kα, 1.54184 Å), based on a cell relaxed with PBE.
No peak broadening, texture or thermal motion is included.

Cell and atoms:
```
8
Lattice="5.5820 0.0000 0.0000 0.0000 6.1967 3.5773 0.0000 -6.1967 3.5773" Properties=species:S:1:pos:R:3 pbc="T T T"
Gd 1.3955 -4.1306 3.5773
Gd 4.1865 4.1306 3.5773
Ho 1.3955 -1.0276 5.3568
Ho 4.1865 1.0276 5.3568
Tm 1.3955 -1.0281 1.7987
Tm 1.3955 2.0550 3.5781
Tm 4.1865 1.0281 1.7987
Tm 4.1865 -2.0550 3.5781
```

Peak list (10 most intense, 2θ = 10–90°, in order of rising 2θ)
d 3.098, intensity 24; d 2.791, intensity 24; d 2.709, intensity 100; d 2.074, intensity 16; d 1.789, intensity 20; d 1.595, intensity 20; d 1.506, intensity 23; d 1.493, intensity 16; d 1.146, intensity 14; d 1.100, intensity 9


No. 12
Gd2Ho5Tm: simulated PXRD pattern (Cu Kα, 1.54184 Å), based on a cell relaxed with PBE.
No peak broadening, texture or thermal motion is included.

Cell and atoms:
```
8
Lattice="5.6112 0.0000 0.0000 0.0000 3.5917 6.2219 0.0000 -3.5917 6.2219" Properties=species:S:1:pos:R:3 pbc="T T T"
Gd 0.0000 0.0000 0.0000
Gd 2.8056 0.0000 4.1489
Ho 0.0000 0.0000 6.2321
Ho 0.0000 -1.7870 9.3280
Ho 0.0000 1.7870 9.3280
Ho 2.8056 -1.7865 7.2636
Ho 2.8056 1.7865 7.2636
Tm 2.8056 0.0000 10.3598
```

Peak list (10 most intense, 2θ = 10–90°, in order of rising 2θ)
d 3.111, intensity 24; d 2.806, intensity 24; d 2.721, intensity 100; d 2.083, intensity 16; d 1.796, intensity 20; d 1.603, intensity 21; d 1.513, intensity 23; d 1.499, intensity 16; d 1.151, intensity 14; d 1.106, intensity 9


No. 13
GdHo6Tm: simulated PXRD pattern (Cu Kα, 1.54184 Å), based on a cell relaxed with PBE.
No peak broadening, texture or thermal motion is included.

Cell and atoms:
```
8
Lattice="7.1787 0.0000 0.0000 -3.5894 6.2170 0.0000 0.0000 0.0000 5.5840" Properties=species:S:1:pos:R:3 pbc="T T T"
Gd 0.0000 0.0000 0.0000
Ho -1.7849 3.1141 0.0000
Ho 0.0000 2.0822 2.7920
Ho -1.7862 5.1759 2.7920
Ho 1.7849 3.1141 0.0000
Ho 0.0000 6.2057 0.0000
Ho 1.7862 5.1759 2.7920
Tm 3.5894 2.0723 2.7920
```

Peak list (10 most intense, 2θ = 10–90°, in order of rising 2θ)
d 3.108, intensity 24; d 2.792, intensity 24; d 2.716, intensity 100; d 2.077, intensity 16; d 1.795, intensity 20; d 1.597, intensity 20; d 1.510, intensity 23; d 1.497, intensity 16; d 1.150, intensity 14; d 1.102, intensity 8


No. 14
GdHoZn6: simulated PXRD pattern (Cu Kα, 1.54184 Å), based on a cell relaxed with PBE.
No peak broadening, texture or thermal motion is included.

Cell and atoms:
```
8
Lattice="4.6737 0.0000 0.0000 0.0000 6.6104 0.0000 0.0000 0.0000 4.6741" Properties=species:S:1:pos:R:3 pbc="T T T"
Gd 0.0000 0.0000 0.0000
Ho 2.3369 3.3052 2.3732
Zn 0.0000 1.6699 2.3342
Zn 0.0000 3.3052 0.0029
Zn 0.0000 4.9405 2.3342
Zn 2.3369 0.0000 2.3675
Zn 2.3369 1.6699 0.0382
Zn 2.3369 4.9405 0.0382
```

Peak list (10 most intense, 2θ = 10–90°, in order of rising 2θ)
d 3.816, intensity 13; d 3.305, intensity 7; d 2.337, intensity 100; d 1.993, intensity 7; d 1.653, intensity 17; d 1.516, intensity 3; d 1.478, intensity 3; d 1.349, intensity 33; d 1.169, intensity 10; d 1.117, intensity 2


No. 15
GdInI6: simulated PXRD pattern (Cu Kα, 1.54184 Å), based on a cell relaxed with PBE.
No peak broadening, texture or thermal motion is included.

Cell and atoms:
```
8
Lattice="3.8073 -6.6039 0.0000 3.8073 6.6039 0.0000 -2.4738 0.0000 7.2627" Properties=species:S:1:pos:R:3 pbc="T T T"
Gd 0.0000 0.0000 0.0000
In 3.8073 2.2209 0.0000
I 1.3949 2.1173 1.7300
I 0.0529 0.1700 5.5237
I 1.0959 -2.2560 1.7699
I 3.7459 2.1173 5.5327
I 5.0880 0.1700 1.7390
I 4.0450 -2.2560 5.4928
```

Peak list (10 most intense, 2θ = 10–90°, in order of rising 2θ)
d 7.263, intensity 36; d 6.327, intensity 18; d 3.596, intensity 46; d 3.129, intensity 100; d 3.108, intensity 49; d 2.224, intensity 19; d 2.211, intensity 37; d 2.200, intensity 53; d 1.796, intensity 18; d 1.394, intensity 23